Theoretical powder diffractogram of BaCeEuWO6 for λ = 1.5418 Å (Cu Kα), from a structure optimized by DFT (PBE+U).
No peak broadening, texture or thermal motion is included.

Main lines, sorted by position (2θ from 5° to 70°):
| h k l | d (Å) | I_rel |
| --- | --- | --- |
| 0 2 0 | 3.029 | 19 |
| 1 -1 2 | 3.007 | 100 |
| 2 2 0 | 2.139 | 10 |
| 2 -2 0 | 2.130 | 10 |
| 0 0 4 | 2.118 | 10 |
| 1 3 2 | 1.747 | 8 |
| 1 -3 2 | 1.743 | 7 |
| 3 1 2 | 1.738 | 14 |
| 3 -1 2 | 1.734 | 17 |
| 2 0 -4 | 1.731 | 5 |
| 2 2 -4 | 1.505 | 9 |
| 2 -2 4 | 1.502 | 6 |

Structure:
Unit cell a=6.016 b=6.059 c=8.472 alpha=89.94 beta=89.97 gamma=89.76
Fractional positions:
Ba 0.006 0.027 0.250
Ba 0.994 0.973 0.750
Ce 0.000 0.500 0.500
Ce 0.500 0.000 0.000
Eu 0.487 0.537 0.250
Eu 0.513 0.463 0.750
W 0.000 0.500 0.000
W 0.500 0.000 0.500
O 0.098 0.498 0.764
O 0.210 0.763 0.038
O 0.229 0.781 0.464
O 0.283 0.296 0.054
O 0.306 0.277 0.448
O 0.436 0.048 0.737
O 0.564 0.952 0.263
O 0.694 0.723 0.552
O 0.717 0.704 0.946
O 0.771 0.219 0.536
O 0.790 0.237 0.962
O 0.902 0.502 0.236